Diffraction record for SmGdSbCl2. The powder XRD pattern is simulated, not measured: it uses a cell relaxed with GGA-PBE and λ = 1.5418 Å (Cu Kα).

Atomic structure:
```
data_SmGdSbCl2
_cell_length_a 4.2249
_cell_length_b 4.2249
_cell_length_c 10.6214
_cell_angle_alpha 90.00
_cell_angle_beta 90.00
_cell_angle_gamma 120.00
_symmetry_space_group_name_H-M 'P 3 m 1'
_symmetry_Int_Tables_number 156
loop_
_symmetry_equiv_pos_as_xyz
'x,y,z'
'-y,x-y,z'
'-x+y,-x,z'
'-y,-x,z'
'-x+y,y,z'
'x,x-y,z'
loop_
_atom_site_label
_atom_site_type_symbol
_atom_site_fract_x
_atom_site_fract_y
_atom_site_fract_z
Sm1 Sm 0.0000 0.0000 0.0000
Gd1 Gd 0.6667 0.3333 0.6620
Sb1 Sb 0.3333 0.6667 0.8284
Cl1 Cl 0.0000 0.0000 0.5188
Cl2 Cl 0.6667 0.3333 0.1468
```

Largest 10 diffraction maxima, by angle, 2θ from 10° to 90°:
2θ (°)	d/Å	Rel. int.	index
25.75	3.459	38	1 0 1
29.65	3.013	100	1 0 2
35.28	2.544	29	1 0 3
42.04	2.149	38	0 1 4
42.81	2.112	36	1 1 0
43.69	2.072	16	1 1 1
52.94	1.730	19	0 2 2
69.25	1.357	16	1 1 6
70.35	1.338	16	2 1 2
77.88	1.227	12	1 2 4